For Li3MnVP3O12, a DFT-relaxed cell (PBE+U, the Materials Project) gives the calculated X-ray powder pattern in this record (Cu Kα X-rays).
Kinematic intensities with the Lorentz-polarization factor, no thermal factor.

Top 10 peaks for 10° ≤ 2θ ≤ 90°, low angle first:
(0 1 -1), 2θ 14.3, intensity 935
(1 -1 1), 2θ 19.2, intensity 573
(1 0 -2), 2θ 19.3, intensity 300
(1 1 0), 2θ 23.9, intensity 498
(1 -2 1), 2θ 24.0, intensity 1000
(0 2 -2), 2θ 28.7, intensity 430
(1 1 1), 2θ 30.9, intensity 201
(1 -2 2), 2θ 31.0, intensity 641
(-2 2 4), 2θ 45.6, intensity 195
(4 -1 1), 2θ 60.1, intensity 220

Structure:
```
data_Li3MnVP3O12
_chemical_formula_sum 'Li6 Mn2 V2 P6 O24'
_cell_length_a 8.383
_cell_length_b 8.419
_cell_length_c 9.275
_cell_angle_alpha 90.10
_cell_angle_beta 116.75
_cell_angle_gamma 119.73
_symmetry_space_group_name_H-M 'P 1'
_symmetry_Int_Tables_number 1
loop_
_symmetry_equiv_pos_as_xyz
'x,y,z'
loop_
_atom_site_label
_atom_site_type_symbol
_atom_site_fract_x
_atom_site_fract_y
_atom_site_fract_z
_atom_site_occupancy
Li1 Li 0.000 0.000 0.000 1
Li2 Li 0.015 0.806 0.558 1
Li3 Li 0.165 0.000 0.317 1
Li4 Li 0.261 0.474 0.526 1
Li5 Li 0.598 0.063 0.542 1
Li6 Li 0.809 0.406 0.272 1
Mn1 Mn 0.491 0.876 0.848 1
Mn2 Mn 0.916 0.584 0.973 1
V1 V 0.517 0.398 0.371 1
V2 V 0.885 0.078 0.443 1
P1 P 0.007 0.274 0.162 1
P2 P 0.401 0.199 0.655 1
P3 P 0.419 0.000 0.167 1
P4 P 0.700 0.780 0.649 1
P5 P 0.706 0.689 0.168 1
P6 P 0.994 0.475 0.654 1
O1 O 0.001 0.512 0.814 1
O2 O 0.080 0.475 0.151 1
O3 O 0.197 0.894 0.153 1
O4 O 0.198 0.242 0.231 1
O5 O 0.204 0.221 0.576 1
O6 O 0.209 0.592 0.661 1
O7 O 0.315 0.990 0.657 1
O8 O 0.407 0.958 0.004 1
O9 O 0.466 0.215 0.513 1
O10 O 0.525 0.221 0.238 1
O11 O 0.525 0.571 0.522 1
O12 O 0.559 0.561 0.239 1
O13 O 0.574 0.957 0.314 1
O14 O 0.580 0.712 0.004 1
O15 O 0.581 0.869 0.652 1
O16 O 0.585 0.349 0.819 1
O17 O 0.833 0.110 0.000 1
O18 O 0.833 0.606 0.169 1
O19 O 0.840 0.521 0.508 1
O20 O 0.840 0.774 0.822 1
O21 O 0.850 0.897 0.578 1
O22 O 0.885 0.892 0.311 1
O23 O 0.896 0.254 0.586 1
O24 O 0.938 0.254 0.300 1
```